Computed PXRD pattern
Compound: Pm2Pr2Nd7
Radiation: Cu Ka
Structure: the GGA-PBE geometry in Alexandria
Peak positions follow from Bragg's law for the DFT cell and can differ from measured ones.

```
22
Lattice="6.8332 -6.0861 0.0000 6.8332 6.0861 0.0000 -0.9397 0.0000 9.3477" Properties=species:S:1:pos:R:3 pbc="T T T"
Pm 4.3755 4.0521 6.5640
Pm 7.8813 4.0521 7.4576
Pm 4.8453 -4.0521 1.8901
Pm 8.3511 -4.0521 2.7837
Pr 5.0915 1.9108 3.6050
Pr 8.1049 1.9108 1.0689
Pr 4.6217 -1.9108 8.2788
Pr 7.6351 -1.9108 5.7428
Nd 6.0280 4.8190 0.7199
Nd 2.4616 0.9681 6.1444
Nd 7.1684 4.8190 3.9539
Nd 4.5188 1.6968 0.0655
Nd 2.9315 -0.9681 1.4706
Nd 6.1284 0.9265 7.0108
Nd 4.0489 -1.6968 4.7394
Nd 8.6777 1.6968 4.6083
Nd 6.5982 -0.9265 2.3369
Nd 9.7952 0.9681 7.8771
Nd 8.2079 -1.6968 9.2822
Nd 5.5582 -4.8190 5.3938
Nd 10.2650 -0.9681 3.2033
Nd 6.6986 -4.8190 8.6278
```

Principal peaks in the range 10 to 80 degrees two-theta, in order of rising 2θ:
| 2θ (°) | Rel. int. |
| --- | --- |
| 29.35 | 23.3 |
| 29.47 | 16.9 |
| 29.70 | 100.0 |
| 30.11 | 9.8 |
| 30.80 | 75.2 |
| 30.91 | 26.7 |
| 36.45 | 38.2 |
| 49.41 | 21.6 |
| 54.09 | 12.1 |
| 54.31 | 15.7 |